The following is a theoretical powder XRD pattern of Ba4SiAs4. It was derived from a crystal structure in Alexandria, relaxed with PBE, using Cu Kα.
Intensities are scaled so that the largest is 100.

Atomic structure:
```
Ba4SiAs4
1.0
9.447 0.000 0.000
0.000 9.447 0.000
0.000 0.000 6.875
Ba Si As
8 2 8
Cartesian
0.167 2.362 0.458
2.362 0.167 3.895
2.362 4.557 3.895
4.557 2.362 0.458
4.891 7.086 6.418
7.086 4.891 2.980
7.086 9.281 2.980
9.281 7.086 6.418
2.362 7.086 1.719
7.086 2.362 5.156
0.312 7.086 3.051
2.362 5.036 0.387
2.362 9.135 0.387
4.412 7.086 3.051
5.036 2.362 3.824
7.086 0.312 6.489
7.086 4.412 6.489
9.135 2.362 3.824
```

Main lines, in order of rising 2θ (10° ≤ 2θ ≤ 90°):
d = 3.893 Å, 22.8°, rel. 19, hkl 2 0 1; d = 3.438 Å, 25.9°, rel. 29, hkl 0 0 2; d = 3.340 Å, 26.7°, rel. 100, hkl 2 2 0; d = 3.230 Å, 27.6°, rel. 27, hkl 1 0 2; d = 2.740 Å, 32.7°, rel. 19, hkl 3 1 1; d = 2.667 Å, 33.6°, rel. 29, hkl 2 1 2; d = 2.396 Å, 37.5°, rel. 47, hkl 2 2 2; d = 2.362 Å, 38.1°, rel. 41, hkl 4 0 0; d = 2.084 Å, 43.4°, rel. 15, hkl 3 2 2; d = 1.947 Å, 46.7°, rel. 19, hkl 4 0 2